# 1
TbDyHgPd: theoretical PXRD pattern (a wavelength of 1.5418 Å), based on a crystal structure in Alexandria, relaxed with PBE.
Peak positions follow from Bragg's law for the DFT cell and can differ from measured ones.

Cell and atoms:
```
data_TbDyHgPd
_chemical_formula_sum 'Tb1 Dy1 Hg1 Pd1'
_cell_length_a 3.5937
_cell_length_b 3.5937
_cell_length_c 7.3662
_cell_angle_alpha 90.00
_cell_angle_beta 90.00
_cell_angle_gamma 90.00
_symmetry_space_group_name_H-M 'P 4 m m'
_symmetry_Int_Tables_number 99
loop_
_symmetry_equiv_pos_as_xyz
'x,y,z'
'-y,x,z'
'-x,-y,z'
'y,-x,z'
'-x,y,z'
'y,x,z'
'x,-y,z'
'-y,-x,z'
loop_
_atom_site_label
_atom_site_fract_x
_atom_site_fract_y
_atom_site_fract_z
Tb1 0.0000 0.0000 0.0000
Dy1 0.0000 0.0000 0.4593
Hg1 0.5000 0.5000 0.7278
Pd1 0.5000 0.5000 0.2325
```

Peak list (6 most intense, 2θ = 5–70°, by angle)
| 2θ (°) | I (rel.) |
| --- | --- |
| 34.88 | 100 |
| 35.32 | 50 |
| 49.50 | 8 |
| 50.81 | 18 |
| 62.26 | 17 |
| 63.12 | 36 |

=====

# 2
BaNd2Tl2: theoretical PXRD pattern (a wavelength of 1.5418 Å), based on a crystal structure in Alexandria, relaxed with PBE.
Peak positions follow from Bragg's law for the DFT cell and can differ from measured ones.

Cell and atoms:
```
data_BaNd2Tl2
_chemical_formula_sum 'Ba2 Nd4 Tl4'
_cell_length_a 7.5693
_cell_length_b 5.4072
_cell_length_c 9.3990
_cell_angle_alpha 90.00
_cell_angle_beta 113.72
_cell_angle_gamma 90.00
_symmetry_space_group_name_H-M 'P 1 21/m 1'
_symmetry_Int_Tables_number 11
loop_
_symmetry_equiv_pos_as_xyz
'x,y,z'
'-x,-y,-z'
'-x,y+1/2,-z'
'x,-y+1/2,z'
loop_
_atom_site_label
_atom_site_fract_x
_atom_site_fract_y
_atom_site_fract_z
Ba1 0.0953 0.2500 0.1883
Nd1 0.2690 0.7500 0.5375
Nd2 0.4532 0.7500 0.9111
Tl1 0.1648 0.2500 0.7367
Tl2 0.4299 0.7500 0.2645
```

Peak list (6 most intense, 2θ = 5–70°, by angle)
| 2θ (°) | I (rel.) |
| --- | --- |
| 12.78 | 19 |
| 25.51 | 26 |
| 30.65 | 100 |
| 31.48 | 27 |
| 33.10 | 73 |
| 35.43 | 35 |

=====

# 3
Ce6Si3Ge: theoretical PXRD pattern (a wavelength of 1.5418 Å), based on a crystal structure in Alexandria, relaxed with PBE.
Peak positions follow from Bragg's law for the DFT cell and can differ from measured ones.

Cell and atoms:
```
data_Ce6Si3Ge
_chemical_formula_sum 'Ce12 Si6 Ge2'
_cell_length_a 9.5015
_cell_length_b 6.7266
_cell_length_c 7.7736
_cell_angle_alpha 90.00
_cell_angle_beta 103.53
_cell_angle_gamma 90.00
_symmetry_space_group_name_H-M 'C 1 2/m 1'
_symmetry_Int_Tables_number 12
loop_
_symmetry_equiv_pos_as_xyz
'x,y,z'
'-x,-y,-z'
'-x,y,-z'
'x,-y,z'
'x+1/2,y+1/2,z'
'-x+1/2,-y+1/2,-z'
'-x+1/2,y+1/2,-z'
'x+1/2,-y+1/2,z'
loop_
_atom_site_label
_atom_site_fract_x
_atom_site_fract_y
_atom_site_fract_z
Ce1 0.1401 0.2061 0.3429
Ce2 0.1431 0.5000 0.9048
Si1 0.0000 0.5000 0.5000
Si2 0.1491 0.0000 0.7395
Ge1 0.0000 0.0000 0.0000
```

Peak list (6 most intense, 2θ = 5–70°, by angle)
| 2θ (°) | I (rel.) |
| --- | --- |
| 26.76 | 78 |
| 29.06 | 98 |
| 31.63 | 68 |
| 33.45 | 100 |
| 33.98 | 90 |
| 36.63 | 55 |

=====

# 4
Mg8TlHg2: theoretical PXRD pattern (a wavelength of 1.5418 Å), based on a crystal structure in Alexandria, relaxed with PBE.
Peak positions follow from Bragg's law for the DFT cell and can differ from measured ones.

Cell and atoms:
```
data_Mg8TlHg2
_chemical_formula_sum 'Mg16 Tl2 Hg4'
_cell_length_a 7.9022
_cell_length_b 13.1257
_cell_length_c 5.2925
_cell_angle_alpha 90.00
_cell_angle_beta 109.56
_cell_angle_gamma 90.00
_symmetry_space_group_name_H-M 'C 1 2/m 1'
_symmetry_Int_Tables_number 12
loop_
_symmetry_equiv_pos_as_xyz
'x,y,z'
'-x,-y,-z'
'-x,y,-z'
'x,-y,z'
'x+1/2,y+1/2,z'
'-x+1/2,-y+1/2,-z'
'-x+1/2,y+1/2,-z'
'x+1/2,-y+1/2,z'
loop_
_atom_site_label
_atom_site_fract_x
_atom_site_fract_y
_atom_site_fract_z
Mg1 0.0000 0.2275 0.0000
Mg2 0.1001 0.5000 0.7994
Mg3 0.2063 0.1155 0.6235
Tl1 0.0000 0.0000 0.0000
Hg1 0.0000 0.3033 0.5000
```

Peak list (6 most intense, 2θ = 5–70°, by angle)
| 2θ (°) | I (rel.) |
| --- | --- |
| 19.04 | 54 |
| 22.39 | 100 |
| 23.58 | 84 |
| 23.90 | 65 |
| 36.02 | 56 |
| 38.76 | 60 |

=====

# 5
RbHoGeTe3: theoretical PXRD pattern (a wavelength of 1.5418 Å), based on a crystal structure in Alexandria, relaxed with PBE.
Peak positions follow from Bragg's law for the DFT cell and can differ from measured ones.

Cell and atoms:
```
data_RbHoGeTe3
_chemical_formula_sum 'Rb2 Ho2 Ge2 Te6'
_cell_length_a 9.4925
_cell_length_b 4.3067
_cell_length_c 11.9555
_cell_angle_alpha 90.00
_cell_angle_beta 111.40
_cell_angle_gamma 90.00
_symmetry_space_group_name_H-M 'P 1 21/m 1'
_symmetry_Int_Tables_number 11
loop_
_symmetry_equiv_pos_as_xyz
'x,y,z'
'-x,-y,-z'
'-x,y+1/2,-z'
'x,-y+1/2,z'
loop_
_atom_site_label
_atom_site_fract_x
_atom_site_fract_y
_atom_site_fract_z
Rb1 0.2320 0.2500 0.2792
Ho1 0.3665 0.7500 0.8419
Ge1 0.1176 0.2500 0.5536
Te1 0.1146 0.2500 0.7788
Te2 0.3243 0.7500 0.5713
Te3 0.3897 0.7500 0.1035
```

Peak list (6 most intense, 2θ = 5–70°, by angle)
| 2θ (°) | I (rel.) |
| --- | --- |
| 10.26 | 84 |
| 28.95 | 100 |
| 29.94 | 55 |
| 41.30 | 31 |
| 41.95 | 29 |
| 42.95 | 36 |

=====

# 6
Mn4FeAu: theoretical PXRD pattern (a wavelength of 1.5418 Å), based on a crystal structure in Alexandria, relaxed with PBE.
Peak positions follow from Bragg's law for the DFT cell and can differ from measured ones.

Cell and atoms:
```
data_Mn4FeAu
_chemical_formula_sum 'Mn16 Fe4 Au4'
_cell_length_a 6.6593
_cell_length_b 6.6593
_cell_length_c 6.6593
_cell_angle_alpha 90.00
_cell_angle_beta 90.00
_cell_angle_gamma 90.00
_symmetry_space_group_name_H-M 'F -4 3 m'
_symmetry_Int_Tables_number 216
_symmetry_space_group_name_Hall 'F -4 2 3'
loop_
_atom_site_label
_atom_site_fract_x
_atom_site_fract_y
_atom_site_fract_z
Mn1 0.1251 0.1251 0.1251
Fe1 0.0000 0.0000 0.5000
Au1 0.2500 0.2500 0.7500
```

Peak list (6 most intense, 2θ = 5–70°, by angle)
| 2θ (°) | I (rel.) |
| --- | --- |
| 23.13 | 28 |
| 26.77 | 20 |
| 38.23 | 56 |
| 45.16 | 100 |
| 47.28 | 21 |
| 69.10 | 19 |